# 1
Calculated X-ray diffraction stick pattern
Compound: Pm8MgTl6
Radiation: a wavelength of 1.5418 Å
Structure: a crystal structure in Alexandria, relaxed with GGA-PBE

Structure:
Lattice parameters (Å, degrees): 8.4741 8.4741 8.4741 66.40 66.40 66.40
Positions (direct):
Pm (0.0744, 0.3894, 0.7120)
Pm (0.1661, 0.1661, 0.1661)
Pm (0.2880, 0.9256, 0.6106)
Pm (0.3894, 0.7120, 0.0744)
Pm (0.6106, 0.2880, 0.9256)
Pm (0.7120, 0.0744, 0.3894)
Pm (0.8339, 0.8339, 0.8339)
Pm (0.9256, 0.6106, 0.2880)
Mg (0.5000, 0.5000, 0.5000)
Tl (0.1085, 0.7704, 0.4423)
Tl (0.2296, 0.5577, 0.8915)
Tl (0.4423, 0.1085, 0.7704)
Tl (0.5577, 0.8915, 0.2296)
Tl (0.7704, 0.4423, 0.1085)
Tl (0.8915, 0.2296, 0.5577)

Peak list (10 most intense, 5° ≤ 2θ ≤ 70°, in order of rising 2θ)
two_theta	Rel. int.
13.49	5
19.13	18
23.48	6
27.16	5
33.44	100
36.22	3
38.82	3
43.61	7
48.02	18
59.78	39

# 2
Calculated X-ray diffraction stick pattern
Compound: Pm5Mg2Tl
Radiation: a wavelength of 1.5418 Å
Structure: a crystal structure in Alexandria, relaxed with GGA-PBE

Structure:
Lattice parameters (Å, degrees): 9.6679 9.6679 9.6679 130.96 130.96 71.88
Positions (direct):
Pm (0.0000, 0.0000, 0.0000)
Pm (0.0045, 0.5045, 0.8259)
Pm (0.1786, 0.0045, 0.5000)
Pm (0.3214, 0.8214, 0.8259)
Pm (0.4955, 0.3214, 0.5000)
Pm (0.5000, 0.5000, 0.0000)
Pm (0.5045, 0.6786, 0.5000)
Pm (0.6786, 0.1786, 0.1741)
Pm (0.8214, 0.9955, 0.5000)
Pm (0.9955, 0.4955, 0.1741)
Mg (0.1267, 0.3733, 0.5000)
Mg (0.3733, 0.8733, 0.2465)
Mg (0.6267, 0.1267, 0.7535)
Mg (0.8733, 0.6267, 0.5000)
Tl (0.2500, 0.2500, 0.0000)
Tl (0.7500, 0.7500, 0.0000)

Peak list (10 most intense, 5° ≤ 2θ ≤ 70°, in order of rising 2θ)
two_theta	Rel. int.
11.30	29
25.46	29
27.69	50
30.22	100
31.53	22
31.94	52
35.37	66
50.02	18
53.83	22
59.01	15

# 3
Calculated X-ray diffraction stick pattern
Compound: Pm3Tm2Mg7
Radiation: a wavelength of 1.5418 Å
Structure: a crystal structure in Alexandria, relaxed with GGA-PBE

Structure:
Lattice parameters (Å, degrees): 13.2308 13.2308 5.1902 90.00 90.00 157.61
Positions (direct):
Pm (0.0000, 0.0000, 0.0000)
Pm (0.1629, 0.8371, 0.0000)
Pm (0.8371, 0.1629, 0.0000)
Tm (0.3555, 0.6445, 0.5000)
Tm (0.6445, 0.3555, 0.5000)
Mg (0.0740, 0.9260, 0.5000)
Mg (0.2312, 0.7688, 0.5000)
Mg (0.4256, 0.5744, 0.0000)
Mg (0.5000, 0.5000, 0.5000)
Mg (0.5744, 0.4256, 0.0000)
Mg (0.7688, 0.2312, 0.5000)
Mg (0.9260, 0.0740, 0.5000)

Peak list (10 most intense, 5° ≤ 2θ ≤ 70°, in order of rising 2θ)
two_theta	Rel. int.
13.65	18
20.53	29
24.38	13
24.62	46
26.50	38
34.50	100
34.93	23
49.96	19
61.87	13
62.35	13

# 4
Calculated X-ray diffraction stick pattern
Compound: Pm4Tm4Mg
Radiation: a wavelength of 1.5418 Å
Structure: a crystal structure in Alexandria, relaxed with GGA-PBE

Structure:
Lattice parameters (Å, degrees): 7.0612 7.9163 10.5780 77.22 89.68 77.04
Positions (direct):
Pm (0.0802, 0.1722, 0.3851)
Pm (0.2472, 0.4989, 0.8355)
Pm (0.4124, 0.8347, 0.6097)
Pm (0.4129, 0.8362, 0.9425)
Pm (0.5871, 0.1638, 0.0575)
Pm (0.5876, 0.1653, 0.3903)
Pm (0.7528, 0.5011, 0.1645)
Pm (0.9198, 0.8278, 0.6149)
Tm (0.0818, 0.1645, 0.0578)
Tm (0.0816, 0.1669, 0.7220)
Tm (0.2471, 0.4991, 0.5006)
Tm (0.2506, 0.5057, 0.1688)
Tm (0.7494, 0.4943, 0.8312)
Tm (0.7529, 0.5009, 0.4994)
Tm (0.9184, 0.8331, 0.2780)
Tm (0.9182, 0.8355, 0.9422)
Mg (0.4166, 0.8287, 0.2778)
Mg (0.5834, 0.1713, 0.7222)

Peak list (10 most intense, 5° ≤ 2θ ≤ 70°, in order of rising 2θ)
two_theta	Rel. int.
31.00	100
35.87	34
36.10	17
51.58	6
51.71	12
51.83	18
61.39	11
61.47	14
61.74	11
64.57	9

# 5
Calculated X-ray diffraction stick pattern
Compound: PmTm8Mg6
Radiation: a wavelength of 1.5418 Å
Structure: a crystal structure in Alexandria, relaxed with GGA-PBE

Structure:
Lattice parameters (Å, degrees): 8.2471 8.2471 8.2471 66.53 66.53 66.53
Positions (direct):
Pm (0.0000, 0.0000, 0.0000)
Tm (0.1183, 0.4506, 0.7826)
Tm (0.2174, 0.8817, 0.5494)
Tm (0.3418, 0.3418, 0.3418)
Tm (0.4506, 0.7826, 0.1183)
Tm (0.5494, 0.2174, 0.8817)
Tm (0.6582, 0.6582, 0.6582)
Tm (0.7826, 0.1183, 0.4506)
Tm (0.8817, 0.5494, 0.2174)
Mg (0.0443, 0.7139, 0.3873)
Mg (0.2861, 0.6127, 0.9557)
Mg (0.3873, 0.0443, 0.7139)
Mg (0.6127, 0.9557, 0.2861)
Mg (0.7139, 0.3873, 0.0443)
Mg (0.9557, 0.2861, 0.6127)

Peak list (10 most intense, 5° ≤ 2θ ≤ 70°, in order of rising 2θ)
two_theta	Rel. int.
19.62	1
24.11	81
34.36	100
42.42	24
47.21	1
49.39	18
55.69	32
61.52	28
61.64	8
68.97	2

# 6
Calculated X-ray diffraction stick pattern
Compound: Pm3Tm2Mg2
Radiation: a wavelength of 1.5418 Å
Structure: a crystal structure in Alexandria, relaxed with GGA-PBE

Structure:
Lattice parameters (Å, degrees): 11.9268 11.9268 3.4776 90.00 90.00 154.33
Positions (direct):
Pm (0.0000, 0.0000, 0.0000)
Pm (0.1512, 0.8488, 0.0000)
Pm (0.8488, 0.1512, 0.0000)
Tm (0.2878, 0.7122, 0.5000)
Tm (0.7122, 0.2878, 0.5000)
Mg (0.4302, 0.5698, 0.5000)
Mg (0.5698, 0.4302, 0.5000)

Peak list (10 most intense, 5° ≤ 2θ ≤ 70°, in order of rising 2θ)
two_theta	Rel. int.
7.60	86
17.16	25
31.00	65
31.79	100
32.90	32
33.83	45
34.66	34
36.44	41
59.22	24
62.82	28

# 7
Calculated X-ray diffraction stick pattern
Compound: PmTmMg17
Radiation: a wavelength of 1.5418 Å
Structure: a crystal structure in Alexandria, relaxed with GGA-PBE

Structure:
Lattice parameters (Å, degrees): 7.7859 7.7859 7.7859 82.08 82.08 82.08
Positions (direct):
Pm (0.0000, 0.0000, 0.0000)
Tm (0.6580, 0.6580, 0.6580)
Mg (0.0251, 0.3318, 0.6321)
Mg (0.0251, 0.6321, 0.3318)
Mg (0.1730, 0.6819, 0.6819)
Mg (0.2320, 0.2320, 0.2320)
Mg (0.3263, 0.3263, 0.8324)
Mg (0.3263, 0.8324, 0.3263)
Mg (0.3318, 0.0251, 0.6321)
Mg (0.3318, 0.6321, 0.0251)
Mg (0.4309, 0.4309, 0.4309)
Mg (0.4932, 0.9751, 0.9751)
Mg (0.6321, 0.0251, 0.3318)
Mg (0.6321, 0.3318, 0.0251)
Mg (0.6819, 0.1730, 0.6819)
Mg (0.6819, 0.6819, 0.1730)
Mg (0.8324, 0.3263, 0.3263)
Mg (0.9751, 0.4932, 0.9751)
Mg (0.9751, 0.9751, 0.4932)

Peak list (10 most intense, 5° ≤ 2θ ≤ 70°, in order of rising 2θ)
two_theta	Rel. int.
11.56	16
15.35	19
17.35	31
24.71	55
30.28	34
31.01	18
35.15	100
35.76	21
50.54	18
63.37	19

# 8
Calculated X-ray diffraction stick pattern
Compound: Pm12Tm6Mg
Radiation: a wavelength of 1.5418 Å
Structure: a crystal structure in Alexandria, relaxed with GGA-PBE

Structure:
Lattice parameters (Å, degrees): 8.6806 8.6806 8.6806 97.53 97.53 97.53
Positions (direct):
Pm (0.0000, 0.2607, 0.7393)
Pm (0.0000, 0.7393, 0.2607)
Pm (0.1688, 0.5820, 0.5820)
Pm (0.2607, 0.0000, 0.7393)
Pm (0.2607, 0.7393, 0.0000)
Pm (0.4180, 0.4180, 0.8312)
Pm (0.4180, 0.8312, 0.4180)
Pm (0.5820, 0.1688, 0.5820)
Pm (0.5820, 0.5820, 0.1688)
Pm (0.7393, 0.0000, 0.2607)
Pm (0.7393, 0.2607, 0.0000)
Pm (0.8312, 0.4180, 0.4180)
Tm (0.1378, 0.1378, 0.4066)
Tm (0.1378, 0.4066, 0.1378)
Tm (0.4066, 0.1378, 0.1378)
Tm (0.5934, 0.8622, 0.8622)
Tm (0.8622, 0.5934, 0.8622)
Tm (0.8622, 0.8622, 0.5934)
Mg (0.0000, 0.0000, 0.0000)

Peak list (10 most intense, 5° ≤ 2θ ≤ 70°, in order of rising 2θ)
two_theta	Rel. int.
24.99	22
28.75	36
31.55	98
31.72	56
32.42	100
34.64	24
35.29	18
48.71	28
57.18	25
61.45	16

# 9
Calculated X-ray diffraction stick pattern
Compound: Pm2Tm5Mg
Radiation: a wavelength of 1.5418 Å
Structure: a crystal structure in Alexandria, relaxed with GGA-PBE

Structure:
Lattice parameters (Å, degrees): 7.0194 7.0194 7.0194 120.61 120.61 88.94
Positions (direct):
Pm (0.0000, 0.5000, 0.5000)
Pm (0.5000, 0.0000, 0.5000)
Tm (0.0000, 0.0000, 0.0000)
Tm (0.0000, 0.0000, 0.5000)
Tm (0.0000, 0.5000, 0.0000)
Tm (0.5000, 0.0000, 0.0000)
Tm (0.5000, 0.5000, 0.5000)
Mg (0.5000, 0.5000, 0.0000)

Peak list (10 most intense, 5° ≤ 2θ ≤ 70°, in order of rising 2θ)
two_theta	Rel. int.
15.51	8
30.09	3
31.32	100
35.85	17
36.55	33
52.13	24
52.64	12
61.62	15
62.54	28
65.34	12

# 10
Calculated X-ray diffraction stick pattern
Compound: PmTm2Mg3
Radiation: a wavelength of 1.5418 Å
Structure: a crystal structure in Alexandria, relaxed with GGA-PBE

Structure:
Lattice parameters (Å, degrees): 3.7816 3.7816 11.4028 90.00 90.00 90.00
Positions (direct):
Pm (0.0000, 0.0000, 0.0000)
Tm (0.0000, 0.0000, 0.3376)
Tm (0.0000, 0.0000, 0.6624)
Mg (0.5000, 0.5000, 0.1759)
Mg (0.5000, 0.5000, 0.5000)
Mg (0.5000, 0.5000, 0.8241)

Peak list (10 most intense, 5° ≤ 2θ ≤ 70°, in order of rising 2θ)
two_theta	Rel. int.
23.40	21
23.53	42
33.45	100
41.28	20
47.86	6
48.12	12
54.00	9
54.21	18
59.69	12
59.86	25

# 11
Calculated X-ray diffraction stick pattern
Compound: PmTm2Mg9
Radiation: a wavelength of 1.5418 Å
Structure: a crystal structure in Alexandria, relaxed with GGA-PBE

Structure:
Lattice parameters (Å, degrees): 10.3108 10.3108 10.3108 33.99 33.99 33.99
Positions (direct):
Pm (0.0000, 0.0000, 0.0000)
Tm (0.1445, 0.1445, 0.1445)
Tm (0.8555, 0.8555, 0.8555)
Mg (0.0796, 0.5877, 0.5877)
Mg (0.3341, 0.3341, 0.3341)
Mg (0.4123, 0.4123, 0.9204)
Mg (0.4123, 0.9204, 0.4123)
Mg (0.5000, 0.5000, 0.5000)
Mg (0.5877, 0.0796, 0.5877)
Mg (0.5877, 0.5877, 0.0796)
Mg (0.6659, 0.6659, 0.6659)
Mg (0.9204, 0.4123, 0.4123)

Peak list (10 most intense, 5° ≤ 2θ ≤ 70°, in order of rising 2θ)
two_theta	Rel. int.
9.11	28
17.26	74
18.28	28
27.42	83
29.65	80
29.93	39
34.51	39
35.05	100
51.25	31
56.16	26

# 12
Calculated X-ray diffraction stick pattern
Compound: Pm6YTm2Mg
Radiation: a wavelength of 1.5418 Å
Structure: a crystal structure in Alexandria, relaxed with GGA-PBE

Structure:
Lattice parameters (Å, degrees): 8.9122 8.9122 9.3024 92.59 92.59 117.57
Positions (direct):
Pm (0.0024, 0.4352, 0.8007)
Pm (0.1324, 0.7758, 0.5515)
Pm (0.2242, 0.8676, 0.9485)
Pm (0.2851, 0.5010, 0.3941)
Pm (0.4352, 0.0024, 0.3007)
Pm (0.4990, 0.7149, 0.1059)
Pm (0.5010, 0.2851, 0.8941)
Pm (0.5648, 0.9976, 0.6993)
Pm (0.7149, 0.4990, 0.6059)
Pm (0.7758, 0.1324, 0.0515)
Pm (0.8676, 0.2242, 0.4485)
Pm (0.9976, 0.5648, 0.1993)
Y (0.0248, 0.9752, 0.2500)
Y (0.9752, 0.0248, 0.7500)
Tm (0.2039, 0.3138, 0.0505)
Tm (0.3138, 0.2039, 0.5505)
Tm (0.6862, 0.7961, 0.4495)
Tm (0.7961, 0.6862, 0.9495)
Mg (0.4176, 0.5824, 0.7500)
Mg (0.5824, 0.4176, 0.2500)

Peak list (10 most intense, 5° ≤ 2θ ≤ 70°, in order of rising 2θ)
two_theta	Rel. int.
28.39	45
28.63	27
30.33	17
30.46	73
30.88	100
31.24	56
31.46	37
32.13	34
34.65	37
37.01	18